This entry pairs a crystal structure of CaMg14CdO16 with its theoretical powder diffraction line list. Radiation: Cu Kα (λ = 1.5418 Å). Structure: a structure optimized by DFT (PBE).

The 10 most intense peaks (5° ≤ 2θ ≤ 70°), low angle first:
hkl 1 0 0, 8.675 Å, I = 25; hkl 1 1 0, 6.134 Å, I = 18; hkl 2 0 0, 4.338 Å, I = 12; hkl 1 1 1, 3.559 Å, I = 14; hkl 2 0 1, 3.078 Å, I = 10; hkl 2 2 1, 2.510 Å, I = 34; hkl 0 0 2, 2.185 Å, I = 52; hkl 4 0 0, 2.169 Å, I = 100; hkl 4 0 2, 1.539 Å, I = 58; hkl 4 4 0, 1.534 Å, I = 28

Structure:
abc: 8.675 8.675 4.370
angles: 90.00 90.00 90.00
Space group P4/mmm (No. 123)
One atom of each set of equivalent atoms:
Ca1 0.000 0.000 0.000 x1
Mg1 0.000 0.255 0.500 x4
Mg2 0.000 0.500 0.000 x2
Mg3 0.245 0.500 0.500 x4
Mg4 0.251 0.251 0.000 x4
Cd1 0.500 0.500 0.000 x1
O1 0.000 0.000 0.500 x1
O2 0.000 0.261 0.000 x4
O3 0.000 0.500 0.500 x2
O4 0.237 0.500 0.000 x4
O5 0.250 0.250 0.500 x4
O6 0.500 0.500 0.500 x1